Diffraction record for La4Tb5Sm3. The PXRD pattern is calculated, not measured: it uses a crystal structure in Alexandria, relaxed with PBE and Cu Kα, 1.54184 Å.
Intensities are scaled so that the largest is 100.

Crystal structure
Unit cell a=16.365 b=6.048 c=9.485 alpha=90.00 beta=116.61 gamma=90.00
Space group C2/m (No. 12)
Asymmetric unit:
La (0.084, 0.000, 0.442)
La (0.213, 0.000, 0.881)
Tb (0.000, 0.000, 0.000)
Tb (0.072, 0.500, 0.699)
Tb (0.171, 0.500, 0.388)
Sm (0.000, 0.500, 0.000)
Sm (0.210, 0.000, 0.230)

Top 10 peaks for 10 to 90 degrees two-theta, low angle first:
- 28.3 deg, d 3.154, I 29.4, hkl 2 0 -3
- 28.9 deg, d 3.087, I 31.8, hkl 3 1 1
- 29.5 deg, d 3.024, I 100.0, hkl 0 2 0
- 30.6 deg, d 2.917, I 40.7, hkl 4 0 1
- 31.2 deg, d 2.864, I 54.0, hkl 5 1 -1
- 32.0 deg, d 2.800, I 72.1, hkl 5 1 -2
- 32.2 deg, d 2.778, I 28.7, hkl 3 1 -3
- 33.0 deg, d 2.717, I 62.0, hkl 1 1 -3
- 43.1 deg, d 2.100, I 32.2, hkl 4 2 1
- 59.0 deg, d 1.565, I 32.7, hkl 6 2 -5

***

Diffraction record for La2Tb4Sm7. The PXRD pattern is calculated, not measured: it uses a crystal structure in Alexandria, relaxed with PBE and Cu Kα, 1.54184 Å.
Intensities are scaled so that the largest is 100.

Crystal structure
Unit cell a=6.2001 b=6.2001 c=13.3274 alpha=90.00 beta=90.00 gamma=120.00
Space group P-31m (No. 162)
Asymmetric unit:
La (0.3333, 0.6667, 0.0000)
Tb (0.0000, 0.0000, 0.3936)
Tb (0.3333, 0.6667, 0.5000)
Sm (0.0000, 0.0000, 0.0000)
Sm (0.0000, 0.3658, 0.2216)

Top 10 peaks for 10 to 90 degrees two-theta, low angle first:
- 26.0 deg, d 3.423, I 13.5, hkl 1 0 3
- 26.8 deg, d 3.332, I 21.8, hkl 0 0 4
- 28.8 deg, d 3.100, I 16.1, hkl 1 1 0
- 29.6 deg, d 3.019, I 45.6, hkl 1 1 1
- 31.6 deg, d 2.831, I 16.5, hkl 1 0 4
- 31.8 deg, d 2.811, I 100.0, hkl 2 -1 2
- 35.3 deg, d 2.542, I 30.5, hkl 1 1 3
- 50.6 deg, d 1.806, I 17.3, hkl 2 -1 6
- 51.0 deg, d 1.790, I 29.3, hkl 3 0 0
- 61.4 deg, d 1.510, I 13.5, hkl 2 2 2

***

Diffraction record for La2Tb15Sm2. The PXRD pattern is calculated, not measured: it uses a crystal structure in Alexandria, relaxed with PBE and Cu Kα, 1.54184 Å.
Intensities are scaled so that the largest is 100.

Crystal structure
Unit cell a=11.3332 b=11.3332 c=17.6301 alpha=90.00 beta=90.00 gamma=120.00
Space group R-3m (No. 166, hexagonal axes)
Asymmetric unit:
La (0.0000, 0.0000, 0.1709)
Tb (0.0000, 0.2981, 0.5000)
Tb (0.0000, 0.5000, 0.0000)
Tb (0.0122, 0.5061, 0.6381)
Sm (0.0000, 0.0000, 0.4070)

Top 10 peaks for 10 to 90 degrees two-theta, low angle first:
- 27.2 deg, d 3.276, I 37.7, hkl 0 2 4
- 30.4 deg, d 2.938, I 19.1, hkl 0 0 6
- 31.3 deg, d 2.860, I 100.0, hkl 0 3 3
- 31.6 deg, d 2.834, I 40.1, hkl 2 2 0
- 34.4 deg, d 2.609, I 14.0, hkl 1 1 6
- 35.2 deg, d 2.552, I 49.1, hkl 2 2 3
- 50.8 deg, d 1.798, I 11.3, hkl 3 3 3
- 54.6 deg, d 1.680, I 15.5, hkl 0 3 9
- 56.0 deg, d 1.641, I 17.8, hkl 0 4 8
- 56.2 deg, d 1.636, I 19.0, hkl 6 0 0

***

Diffraction record for La3TbSm6. The PXRD pattern is calculated, not measured: it uses a crystal structure in Alexandria, relaxed with PBE and Cu Kα, 1.54184 Å.
Intensities are scaled so that the largest is 100.

Crystal structure
Unit cell a=11.085 b=19.448 c=6.474 alpha=90.00 beta=90.00 gamma=90.00
Space group Cmc2_1 (No. 36)
Asymmetric unit:
La (0.000, 0.114, 0.000)
La (0.174, 0.384, 0.391)
Tb (0.000, 0.310, 0.039)
Sm (0.000, 0.224, 0.574)
Sm (0.000, 0.465, 0.791)
Sm (0.171, 0.044, 0.479)
Sm (0.235, 0.209, 0.293)

Top 10 peaks for 10 to 90 degrees two-theta, low angle first:
- 27.8 deg, d 3.210, I 18.8, hkl 3 3 0
- 28.0 deg, d 3.186, I 79.4, hkl 2 4 1
- 28.2 deg, d 3.166, I 39.7, hkl 3 1 1
- 29.1 deg, d 3.069, I 27.2, hkl 1 1 2
- 30.9 deg, d 2.898, I 100.0, hkl 0 6 1
- 31.1 deg, d 2.876, I 55.1, hkl 3 3 1
- 32.0 deg, d 2.797, I 31.7, hkl 2 0 2
- 33.4 deg, d 2.684, I 92.0, hkl 2 2 2
- 43.0 deg, d 2.106, I 22.0, hkl 0 2 3
- 49.0 deg, d 1.859, I 21.5, hkl 2 4 3

***

Diffraction record for La4TbSm5. The PXRD pattern is calculated, not measured: it uses a crystal structure in Alexandria, relaxed with PBE and Cu Kα, 1.54184 Å.
Intensities are scaled so that the largest is 100.

Crystal structure
Unit cell a=10.757 b=10.757 c=5.983 alpha=90.00 beta=90.00 gamma=90.00
Space group P4/nmm (No. 129, origin choice 2)
Asymmetric unit:
La (0.048, 0.750, 0.128)
Tb (0.250, 0.250, 0.855)
Sm (0.090, 0.090, 0.347)
Sm (0.250, 0.750, 0.500)

Top 10 peaks for 10 to 90 degrees two-theta, low angle first:
- 27.8 deg, d 3.210, I 22.0, hkl 2 2 1
- 29.0 deg, d 3.076, I 100.0, hkl 3 0 1
- 30.2 deg, d 2.957, I 52.7, hkl 3 1 1
- 31.0 deg, d 2.882, I 38.0, hkl 1 0 2
- 35.4 deg, d 2.537, I 43.5, hkl 3 3 0
- 42.8 deg, d 2.112, I 12.9, hkl 3 2 2
- 50.9 deg, d 1.793, I 16.9, hkl 6 0 0
- 52.4 deg, d 1.747, I 30.5, hkl 4 3 2
- 57.5 deg, d 1.602, I 14.1, hkl 4 0 3
- 59.7 deg, d 1.549, I 17.7, hkl 6 3 1

***

Diffraction record for LaTbSm2. The PXRD pattern is calculated, not measured: it uses a crystal structure in Alexandria, relaxed with PBE and Cu Kα, 1.54184 Å.
Intensities are scaled so that the largest is 100.

Crystal structure
Unit cell a=3.647 b=3.647 c=10.301 alpha=90.00 beta=90.00 gamma=90.00
Space group P4/mmm (No. 123)
Asymmetric unit:
La (0.000, 0.000, 0.000)
Tb (0.000, 0.000, 0.500)
Sm (0.500, 0.500, 0.256)

Top 10 peaks for 10 to 90 degrees two-theta, low angle first:
- 30.0 deg, d 2.976, I 100.0, hkl 1 0 2
- 34.8 deg, d 2.577, I 50.6, hkl 1 1 0
- 50.0 deg, d 1.822, I 36.1, hkl 2 0 0
- 59.5 deg, d 1.554, I 42.9, hkl 2 1 2
- 62.4 deg, d 1.488, I 12.3, hkl 2 0 4
- 73.4 deg, d 1.289, I 3.9, hkl 2 2 0
- 73.6 deg, d 1.288, I 1.8, hkl 0 0 8
- 81.4 deg, d 1.183, I 17.4, hkl 3 0 2
- 83.9 deg, d 1.153, I 10.9, hkl 3 1 0
- 84.0 deg, d 1.152, I 5.2, hkl 1 1 8

***

Diffraction record for LaTb7Sm3. The PXRD pattern is calculated, not measured: it uses a crystal structure in Alexandria, relaxed with PBE and Cu Kα, 1.54184 Å.
Intensities are scaled so that the largest is 100.

Crystal structure
Unit cell a=7.014 b=5.600 c=10.023 alpha=90.00 beta=109.61 gamma=90.00
Space group P2/m (No. 10)
Asymmetric unit:
La (0.000, 0.000, 0.000)
Tb (0.000, 0.000, 0.500)
Tb (0.145, 0.500, 0.788)
Tb (0.325, 0.500, 0.140)
Tb (0.422, 0.000, 0.331)
Sm (0.280, 0.500, 0.498)
Sm (0.500, 0.000, 0.000)

Top 10 peaks for 10 to 90 degrees two-theta, low angle first:
- 31.1 deg, d 2.872, I 29.8, hkl 1 1 2
- 31.4 deg, d 2.845, I 100.0, hkl 2 1 0
- 31.6 deg, d 2.835, I 20.0, hkl 2 0 1
- 31.7 deg, d 2.824, I 61.9, hkl 2 1 -2
- 32.0 deg, d 2.799, I 86.0, hkl 0 2 0
- 32.6 deg, d 2.743, I 66.8, hkl 0 1 3
- 52.2 deg, d 1.753, I 20.3, hkl 4 0 -2
- 56.6 deg, d 1.625, I 18.9, hkl 2 3 0
- 57.4 deg, d 1.604, I 26.4, hkl 0 3 3
- 62.5 deg, d 1.486, I 32.9, hkl 4 2 -2

***

Diffraction record for LaTb5Sm12. The PXRD pattern is calculated, not measured: it uses a crystal structure in Alexandria, relaxed with PBE and Cu Kα, 1.54184 Å.
Intensities are scaled so that the largest is 100.

Crystal structure
Unit cell a=18.791 b=10.864 c=6.260 alpha=90.00 beta=109.26 gamma=90.00
Space group C2/m (No. 12)
Asymmetric unit:
La (0.000, 0.000, 0.000)
Tb (0.000, 0.500, 0.500)
Tb (0.167, 0.500, 0.999)
Tb (0.168, 0.000, 0.503)
Sm (0.000, 0.168, 0.500)
Sm (0.000, 0.335, 0.000)
Sm (0.167, 0.334, 0.498)
Sm (0.168, 0.167, 0.001)

Top 10 peaks for 10 to 90 degrees two-theta, low angle first:
- 30.2 deg, d 2.955, I 100.0, hkl 6 0 0
- 35.0 deg, d 2.562, I 33.9, hkl 3 3 1
- 35.2 deg, d 2.553, I 16.8, hkl 6 0 -2
- 50.4 deg, d 1.811, I 12.1, hkl 6 0 2
- 50.5 deg, d 1.808, I 24.1, hkl 9 3 -1
- 59.9 deg, d 1.545, I 14.4, hkl 9 3 1
- 59.9 deg, d 1.544, I 14.4, hkl 6 6 0
- 60.1 deg, d 1.540, I 14.3, hkl 12 0 -2
- 62.9 deg, d 1.477, I 12.4, hkl 12 0 0
- 82.1 deg, d 1.174, I 11.8, hkl 15 3 -1

***

Diffraction record for La2Tb4Sm. The PXRD pattern is calculated, not measured: it uses a crystal structure in Alexandria, relaxed with PBE and Cu Kα, 1.54184 Å.
Intensities are scaled so that the largest is 100.

Crystal structure
Unit cell a=4.625 b=4.625 c=22.792 alpha=90.00 beta=90.00 gamma=90.00
Space group I4/mmm (No. 139)
Asymmetric unit:
La (0.000, 0.000, 0.097)
Tb (0.000, 0.000, 0.360)
Tb (0.000, 0.500, 0.250)
Sm (0.000, 0.000, 0.500)

Top 10 peaks for 10 to 90 degrees two-theta, low angle first:
- 27.3 deg, d 3.271, I 29.1, hkl 1 1 0
- 27.5 deg, d 3.247, I 33.0, hkl 1 0 5
- 28.4 deg, d 3.144, I 73.1, hkl 1 1 2
- 31.4 deg, d 2.849, I 31.7, hkl 0 0 8
- 31.5 deg, d 2.837, I 100.0, hkl 1 1 4
- 33.7 deg, d 2.662, I 61.8, hkl 1 0 7
- 38.9 deg, d 2.313, I 69.9, hkl 2 0 0
- 50.9 deg, d 1.796, I 33.0, hkl 2 0 8
- 52.4 deg, d 1.746, I 35.3, hkl 2 1 7
- 65.9 deg, d 1.417, I 39.2, hkl 2 2 8

***

Diffraction record for La5Tb4Sm2. The PXRD pattern is calculated, not measured: it uses a crystal structure in Alexandria, relaxed with PBE and Cu Kα, 1.54184 Å.
Intensities are scaled so that the largest is 100.

Crystal structure
Unit cell a=3.572 b=9.369 c=23.767 alpha=90.00 beta=90.00 gamma=90.00
Space group Immm (No. 71)
Asymmetric unit:
La (0.000, 0.000, 0.000)
La (0.000, 0.299, 0.353)
Tb (0.000, 0.187, 0.500)
Tb (0.000, 0.500, 0.096)
Sm (0.000, 0.500, 0.231)

Top 10 peaks for 10 to 90 degrees two-theta, low angle first:
- 10.1 deg, d 8.716, I 26.0, hkl 0 1 1
- 26.7 deg, d 3.337, I 24.8, hkl 1 1 0
- 27.8 deg, d 3.213, I 38.6, hkl 1 1 2
- 29.5 deg, d 3.025, I 59.6, hkl 0 2 6
- 30.1 deg, d 2.971, I 28.6, hkl 0 0 8
- 30.8 deg, d 2.906, I 82.5, hkl 0 3 3
- 31.7 deg, d 2.820, I 100.0, hkl 1 2 1
- 35.2 deg, d 2.552, I 37.0, hkl 1 1 6
- 36.5 deg, d 2.461, I 47.1, hkl 1 0 7
- 60.2 deg, d 1.538, I 35.8, hkl 1 2 13

***

Diffraction record for La2TbSm7. The PXRD pattern is calculated, not measured: it uses a crystal structure in Alexandria, relaxed with PBE and Cu Kα, 1.54184 Å.
Intensities are scaled so that the largest is 100.

Crystal structure
Unit cell a=5.168 b=7.299 c=9.656 alpha=79.07 beta=74.48 gamma=89.90
Space group P-1 (No. 2)
Asymmetric unit:
La (0.199, 0.101, 0.102)
Tb (0.000, 0.500, 0.500)
Sm (0.000, 0.000, 0.500)
Sm (0.199, 0.599, 0.102)
Sm (0.401, 0.698, 0.698)
Sm (0.402, 0.203, 0.696)

Top 10 peaks for 10 to 90 degrees two-theta, low angle first:
- 30.0 deg, d 2.981, I 100.0, hkl 1 2 1
- 34.7 deg, d 2.582, I 50.7, hkl 2 0 1
- 50.0 deg, d 1.826, I 36.3, hkl 2 2 4
- 59.4 deg, d 1.557, I 28.8, hkl 3 0 4
- 59.4 deg, d 1.556, I 10.8, hkl 1 -4 2
- 62.3 deg, d 1.491, I 9.3, hkl 2 4 2
- 81.1 deg, d 1.185, I 7.3, hkl 3 4 5
- 81.2 deg, d 1.184, I 10.2, hkl 1 6 2
- 83.7 deg, d 1.155, I 5.5, hkl 4 2 5
- 83.8 deg, d 1.154, I 9.5, hkl 4 -2 4

***

Diffraction record for LaTb5Sm5. The PXRD pattern is calculated, not measured: it uses a crystal structure in Alexandria, relaxed with PBE and Cu Kα, 1.54184 Å.
Intensities are scaled so that the largest is 100.

Crystal structure
Unit cell a=6.1660 b=6.1660 c=11.6896 alpha=90.00 beta=90.00 gamma=120.00
Space group P-6m2 (No. 187)
Asymmetric unit:
La (0.0000, 0.0000, 0.0000)
Tb (0.0014, 0.5007, 0.5000)
Tb (0.6667, 0.3333, 0.2657)
Sm (0.0000, 0.0000, 0.3276)
Sm (0.3333, 0.6667, 0.1591)
Sm (0.6667, 0.3333, 0.0000)

Top 10 peaks for 10 to 90 degrees two-theta, low angle first:
- 28.4 deg, d 3.148, I 100.0, hkl 1 0 3
- 29.0 deg, d 3.083, I 85.4, hkl 1 1 0
- 30.0 deg, d 2.981, I 27.1, hkl 1 1 1
- 32.8 deg, d 2.727, I 25.1, hkl 1 1 2
- 34.5 deg, d 2.603, I 37.9, hkl 2 0 1
- 35.0 deg, d 2.564, I 34.8, hkl 1 0 4
- 37.0 deg, d 2.429, I 27.9, hkl 2 0 2
- 37.2 deg, d 2.418, I 23.3, hkl 1 1 3
- 51.0 deg, d 1.792, I 39.1, hkl 2 1 3
- 60.0 deg, d 1.542, I 28.1, hkl 2 2 0